# Ba3Hg4Pb2Au2
Computed X-ray powder pattern, copper Kα. Input: the GGA-PBE geometry in Alexandria.
Kinematic intensities with the Lorentz-polarization factor, no thermal factor.

Main lines, low angle first (15 to 90 degrees two-theta):
- 2θ 20.5, d = 4.343 Å, I 160
- 2θ 23.0, d = 3.865 Å, I 130
- 2θ 25.9, d = 3.444 Å, I 177
- 2θ 29.4, d = 3.033 Å, I 858
- 2θ 33.5, d = 2.673 Å, I 353
- 2θ 35.8, d = 2.507 Å, I 1000
- 2θ 38.0, d = 2.369 Å, I 190
- 2θ 41.9, d = 2.158 Å, I 157
- 2θ 47.0, d = 1.933 Å, I 240
- 2θ 56.9, d = 1.619 Å, I 192
- 2θ 60.5, d = 1.531 Å, I 228
- 2θ 64.4, d = 1.448 Å, I 186

Structural model:
```
11
Lattice="5.015 0.000 0.000 -2.507 4.343 0.000 0.000 0.000 16.956" Properties=species:S:1:pos:R:3 pbc="T T T"
Ba 0.000 0.000 0.000
Ba 0.000 0.000 4.261
Ba 0.000 0.000 12.695
Hg 0.000 2.895 6.116
Hg 0.000 2.895 14.841
Hg 2.507 1.448 2.116
Hg 2.507 1.448 10.841
Pb 0.000 2.895 9.323
Pb 2.507 1.448 7.634
Au 0.000 2.895 2.156
Au 2.507 1.448 14.800
```

---

# LaTb8Er3
Computed X-ray powder pattern, copper Kα. Input: the GGA-PBE geometry in Alexandria.
Kinematic intensities with the Lorentz-polarization factor, no thermal factor.

Main lines, low angle first (15 to 90 degrees two-theta):
- 2θ 22.3, d = 3.995 Å, I 135
- 2θ 27.3, d = 3.261 Å, I 166
- 2θ 31.3, d = 2.855 Å, I 486
- 2θ 31.6, d = 2.833 Å, I 1000
- 2θ 32.0, d = 2.798 Å, I 651
- 2θ 35.3, d = 2.542 Å, I 182
- 2θ 35.8, d = 2.511 Å, I 337
- 2θ 45.4, d = 1.997 Å, I 163
- 2θ 51.6, d = 1.772 Å, I 211
- 2θ 55.9, d = 1.644 Å, I 163
- 2θ 56.4, d = 1.631 Å, I 176
- 2θ 66.0, d = 1.416 Å, I 215

Structural model:
```
12
Lattice="-3.211 5.678 5.711 3.211 -5.678 5.711 3.211 5.678 -5.711" Properties=species:S:1:pos:R:3 pbc="T T T"
La 0.000 0.000 0.000
Tb 3.211 3.754 -2.839
Tb 1.561 2.967 0.000
Tb 1.651 -2.711 5.711
Tb 0.000 1.924 2.872
Tb 3.211 3.754 2.839
Tb 1.561 8.389 0.000
Tb 1.651 2.711 5.711
Tb 0.000 1.924 8.550
Er 3.211 0.000 3.004
Er 0.000 0.000 5.711
Er 0.000 5.678 2.707
```

---

# Ba2BeAlAu6
Computed X-ray powder pattern, copper Kα. Input: the GGA-PBE geometry in Alexandria.
Kinematic intensities with the Lorentz-polarization factor, no thermal factor.

Main lines, low angle first (15 to 90 degrees two-theta):
- 2θ 31.4, d = 2.851 Å, I 1000
- 2θ 36.3, d = 2.475 Å, I 186
- 2θ 36.4, d = 2.466 Å, I 368
- 2θ 52.4, d = 1.747 Å, I 254
- 2θ 52.5, d = 1.743 Å, I 126
- 2θ 62.2, d = 1.492 Å, I 136
- 2θ 62.4, d = 1.489 Å, I 135
- 2θ 62.5, d = 1.486 Å, I 134
- 2θ 65.5, d = 1.425 Å, I 127
- 2θ 85.7, d = 1.133 Å, I 110
- 2θ 88.4, d = 1.106 Å, I 57
- 2θ 88.7, d = 1.103 Å, I 57

Structural model:
```
10
Lattice="0.000 4.937 4.950 4.926 0.000 4.950 4.926 4.937 0.000" Properties=species:S:1:pos:R:3 pbc="T T T"
Ba 2.463 2.468 2.475
Ba 7.389 7.405 7.425
Be 0.000 0.000 0.000
Al 4.926 4.937 4.950
Au 4.926 4.937 2.343
Au 4.926 2.338 4.950
Au 7.518 4.937 4.950
Au 2.334 4.937 4.950
Au 4.926 7.535 4.950
Au 4.926 4.937 7.557
```